Starting from the PBE geometry in the Materials Project, the XRD peak list of Mg6ZnSiO8 was calculated for copper Kα.

Atomic structure:
Cell lengths 4.3317, 4.3317, 8.6226 Å; angles 90.00, 90.00, 90.00 degrees
Sites, in units of the cell vectors:
Mg1 0.0000 0.0000 0.0000
Mg2 0.0000 0.0000 0.5000
Mg3 0.0000 0.5000 0.2469
Mg4 0.0000 0.5000 0.7531
Mg5 0.5000 0.0000 0.2469
Mg6 0.5000 0.0000 0.7531
Zn1 0.5000 0.5000 0.0000
Si1 0.5000 0.5000 0.5000
O1 0.0000 0.0000 0.2506
O2 0.0000 0.0000 0.7494
O3 0.0000 0.5000 0.0000
O4 0.0000 0.5000 0.5000
O5 0.5000 0.0000 0.0000
O6 0.5000 0.0000 0.5000
O7 0.5000 0.5000 0.2429
O8 0.5000 0.5000 0.7571

Principal peaks in the range 2θ from 10° to 90°, in order of falling intensity:
d/Å	intensity	h k l
2.166	1000	2 0 0
1.528	568	2 0 4
2.156	490	0 0 4
2.497	315	1 1 2
1.532	288	2 2 0
1.248	261	2 2 4